Theoretical powder XRD pattern of KMg2Bi for copper Kα, from DFT lattice parameters and positions (GGA-PBE).
Neutral-atom scattering factors, no anomalous dispersion.

Structure:
```
KMg2Bi
1.0
4.809 0.000 0.000
0.000 4.809 0.000
0.000 0.000 11.605
K Mg Bi
2 4 2
direct
0.250 0.250 0.240
0.750 0.750 0.760
0.250 0.250 0.944
0.250 0.750 0.500
0.750 0.250 0.500
0.750 0.750 0.056
0.250 0.250 0.656
0.750 0.750 0.344
```

Principal peaks in the range 2θ from 10° to 90°, by angle:
d 4.443, 19.99 deg, I 91; d 3.703, 24.03 deg, I 100; d 3.400, 26.21 deg, I 79; d 2.554, 35.14 deg, I 66; d 2.484, 36.16 deg, I 37; d 2.404, 37.40 deg, I 45; d 2.090, 43.28 deg, I 32; d 2.017, 44.95 deg, I 40


Theoretical powder XRD pattern of KMg6Bi4 for copper Kα, from DFT lattice parameters and positions (GGA-PBE).
Neutral-atom scattering factors, no anomalous dispersion.

Structure:
```
KMg6Bi4
1.0
9.058 0.000 0.000
-4.529 7.844 0.000
0.000 0.000 4.524
K Mg Bi
1 6 4
direct
0.000 0.000 0.000
0.194 0.387 0.500
0.194 0.806 0.500
0.544 0.088 0.000
0.544 0.456 0.000
0.613 0.806 0.500
0.912 0.456 0.000
0.333 0.667 0.000
0.374 0.187 0.500
0.813 0.187 0.500
0.813 0.626 0.500
```

Principal peaks in the range 2θ from 10° to 90°, by angle:
d 3.921, 22.68 deg, I 100; d 3.201, 27.88 deg, I 31; d 2.964, 30.15 deg, I 33; d 2.480, 36.23 deg, I 38; d 2.264, 39.82 deg, I 53; d 1.960, 46.32 deg, I 37; d 1.601, 57.59 deg, I 24; d 1.482, 62.69 deg, I 24


Theoretical powder XRD pattern of KMg3Bi2 for copper Kα, from DFT lattice parameters and positions (GGA-PBE).
Neutral-atom scattering factors, no anomalous dispersion.

Structure:
```
KMg3Bi2
1.0
9.457 -2.353 0.000
9.457 2.353 0.000
-4.254 0.000 8.763
K Mg Bi
2 6 4
direct
0.140 0.140 0.060
0.860 0.860 0.940
0.040 0.040 0.393
0.321 0.321 0.553
0.418 0.418 0.363
0.582 0.582 0.637
0.679 0.679 0.447
0.960 0.960 0.607
0.202 0.202 0.677
0.487 0.487 0.812
0.513 0.513 0.188
0.798 0.798 0.323
```

Principal peaks in the range 2θ from 10° to 90°, by angle:
d 4.721, 18.79 deg, I 36; d 4.240, 20.95 deg, I 100; d 4.066, 21.86 deg, I 51; d 3.621, 24.58 deg, I 99; d 3.351, 26.60 deg, I 68; d 2.493, 36.02 deg, I 60; d 2.473, 36.33 deg, I 49; d 2.353, 38.25 deg, I 36


Theoretical powder XRD pattern of KMgBi for copper Kα, from DFT lattice parameters and positions (GGA-PBE).
Neutral-atom scattering factors, no anomalous dispersion.

Structure:
```
KMgBi
1.0
4.951 0.000 0.000
0.000 4.938 0.000
-0.006 0.000 8.523
K Mg Bi
2 2 2
direct
0.250 0.250 0.153
0.750 0.750 0.847
0.250 0.750 0.500
0.750 0.250 0.500
0.250 0.250 0.706
0.750 0.750 0.294
```

Principal peaks in the range 2θ from 10° to 90°, by angle:
d 4.277, 20.77 deg, I 100; d 4.261, 20.85 deg, I 25; d 3.496, 25.48 deg, I 58; d 3.228, 27.63 deg, I 42; d 2.703, 33.14 deg, I 56; d 2.472, 36.34 deg, I 35; d 2.140, 42.22 deg, I 44; d 1.957, 46.41 deg, I 21


Theoretical powder XRD pattern of K2MgBiO4 for copper Kα, from DFT lattice parameters and positions (GGA-PBE).
Neutral-atom scattering factors, no anomalous dispersion.

Structure:
```
K2MgBiO4
1.0
4.250 -4.191 0.000
4.250 4.191 0.000
-4.245 0.000 4.267
K Mg Bi O
2 1 1 4
direct
0.000 0.000 0.000
0.750 0.250 0.500
0.501 0.499 0.000
0.251 0.749 0.500
0.225 0.454 0.598
0.376 0.141 0.919
0.546 0.775 0.402
0.859 0.624 0.081
```

Principal peaks in the range 2θ from 10° to 90°, by angle:
d 4.891, 18.14 deg, I 97; d 4.258, 20.86 deg, I 36; d 3.011, 29.67 deg, I 35; d 2.987, 29.91 deg, I 100; d 2.445, 36.75 deg, I 20; d 1.939, 46.85 deg, I 19; d 1.735, 52.75 deg, I 19; d 1.720, 53.26 deg, I 24


Theoretical powder XRD pattern of K2Mg5Bi3Pb2 for copper Kα, from DFT lattice parameters and positions (GGA-PBE).
Neutral-atom scattering factors, no anomalous dispersion.

Structure:
```
K2Mg5Bi3Pb2
1.0
-2.755 2.755 13.410
2.755 -2.755 13.410
2.755 2.755 -13.410
K Mg Bi Pb
2 5 3 2
direct
0.240 0.240 0.000
0.760 0.760 0.000
0.000 0.000 0.000
0.063 0.563 0.500
0.437 0.937 0.500
0.563 0.063 0.500
0.937 0.437 0.500
0.375 0.375 0.000
0.500 0.500 0.000
0.625 0.625 0.000
0.115 0.115 0.000
0.885 0.885 0.000
```

Principal peaks in the range 2θ from 10° to 90°, by angle:
d 6.705, 13.20 deg, I 37; d 3.896, 22.83 deg, I 97; d 3.368, 26.46 deg, I 31; d 3.353, 26.59 deg, I 30; d 2.755, 32.51 deg, I 59; d 2.542, 35.31 deg, I 100; d 2.128, 42.47 deg, I 35; d 1.546, 59.83 deg, I 37


Theoretical powder XRD pattern of KMgBi2W for copper Kα, from DFT lattice parameters and positions (GGA-PBE).
Neutral-atom scattering factors, no anomalous dispersion.

Structure:
```
KMgBi2W
1.0
5.870 0.000 0.000
0.000 5.870 0.000
0.000 0.000 5.543
K Mg Bi W
1 1 2 1
direct
0.000 0.000 0.000
0.500 0.500 0.500
0.000 0.500 0.000
0.500 0.000 0.000
0.000 0.000 0.500
```

Principal peaks in the range 2θ from 10° to 90°, by angle:
d 5.870, 15.09 deg, I 23; d 3.322, 26.84 deg, I 100; d 2.935, 30.46 deg, I 48; d 2.771, 32.30 deg, I 20; d 2.075, 43.62 deg, I 18; d 2.015, 44.99 deg, I 33; d 1.760, 51.95 deg, I 35; d 1.661, 55.30 deg, I 18


Theoretical powder XRD pattern of KMgZnBi2 for copper Kα, from DFT lattice parameters and positions (GGA-PBE).
Neutral-atom scattering factors, no anomalous dispersion.

Structure:
```
KMgZnBi2
1.0
-2.262 2.262 7.659
2.262 -2.262 7.659
2.262 2.262 -7.659
K Mg Zn Bi
1 1 1 2
direct
0.000 0.000 0.000
0.750 0.250 0.500
0.250 0.750 0.500
0.371 0.371 0.000
0.629 0.629 0.000
```

Principal peaks in the range 2θ from 10° to 90°, by angle:
d 4.340, 20.47 deg, I 85; d 3.386, 26.32 deg, I 100; d 3.200, 27.88 deg, I 43; d 2.537, 35.38 deg, I 32; d 2.455, 36.60 deg, I 73; d 2.262, 39.84 deg, I 40; d 2.006, 45.20 deg, I 24; d 1.881, 48.38 deg, I 39